1.
Structure and calculated X-ray powder pattern of Co2Rh3 (a DFT-relaxed cell (GGA-PBE, Alexandria); λ = 1.5418 Å (Cu Kα)).
Neutral-atom scattering factors, no anomalous dispersion.

Main lines, by angle (5° ≤ 2θ ≤ 70°):
- 14.22°, rel. 4, (0 2 0)
- 31.17°, rel. 18, (1 3 0)
- 41.59°, rel. 100, (1 1 1)
- 42.85°, rel. 90, (1 5 0)
- 44.88°, rel. 55, (0 4 1)
- 45.73°, rel. 40, (2 0 0)
- 46.63°, rel. 8, (1 3 1)
- 56.26°, rel. 11, (0 6 1)
- 59.34°, rel. 4, (0 8 0)
- 66.01°, rel. 34, (2 4 1)

Atomic structure:
Cell lengths 3.9684, 12.4588, 2.6526 Å; angles 90.00, 90.00, 90.00 degrees
Space group Cmmm (No. 65)
One atom of each set of equivalent atoms:
Co1 0.0000 0.2030 0.0000 (multiplicity 4)
Rh1 0.0000 0.0000 0.0000 (multiplicity 2)
Rh2 0.0000 0.3867 0.5000 (multiplicity 4)

---

2.
Structure and calculated X-ray powder pattern of CoRh (a DFT-relaxed cell (GGA-PBE, Alexandria); λ = 1.5418 Å (Cu Kα)).
Neutral-atom scattering factors, no anomalous dispersion.

Main lines, by angle (5° ≤ 2θ ≤ 70°):
- 39.24°, rel. 47, (0 2 1)
- 39.50°, rel. 87, (1 1 3)
- 42.75°, rel. 36, (0 2 2)
- 43.04°, rel. 83, (1 0 4)
- 43.27°, rel. 46, (2 1 0)
- 44.38°, rel. 100, (2 1 1)
- 47.19°, rel. 30, (1 2 2)
- 47.33°, rel. 28, (1 1 4)
- 52.22°, rel. 31, (1 2 3)
- 56.14°, rel. 19, (1 1 5)

Atomic structure:
Cell lengths 4.6615, 4.7349, 9.4168 Å; angles 90.00, 90.00, 90.00 degrees
Space group Pbca (No. 61)
One atom of each set of equivalent atoms:
Co1 0.1518 0.1729 0.0517 (multiplicity 8)
Rh1 0.1224 0.0578 0.3184 (multiplicity 8)

---

3.
Structure and calculated X-ray powder pattern of CoRh3 (a DFT-relaxed cell (GGA-PBE, Alexandria); λ = 1.5418 Å (Cu Kα)).
Neutral-atom scattering factors, no anomalous dispersion.

Main lines, by angle (5° ≤ 2θ ≤ 70°):
- 28.19°, rel. 4, (0 1 1)
- 38.45°, rel. 25, (1 0 1)
- 38.63°, rel. 13, (0 0 2)
- 41.90°, rel. 38, (0 2 0)
- 44.01°, rel. 100, (1 1 1)
- 44.17°, rel. 49, (0 1 2)
- 58.17°, rel. 15, (1 2 1)
- 58.30°, rel. 7, (0 2 2)
- 69.42°, rel. 8, (2 0 0)
- 69.78°, rel. 16, (1 0 3)

Atomic structure:
Cell lengths 2.7077, 4.3120, 4.6616 Å; angles 90.00, 90.00, 90.00 degrees
Space group Pmm2 (No. 25)
One atom of each set of equivalent atoms:
Co1 0.0000 0.0000 0.0000 (multiplicity 1)
Rh1 0.0000 0.5000 0.3306 (multiplicity 1)
Rh2 0.5000 0.0000 0.4995 (multiplicity 1)
Rh3 0.5000 0.5000 0.8373 (multiplicity 1)

---

4.
Structure and calculated X-ray powder pattern of CoRh5 (a DFT-relaxed cell (GGA-PBE, Alexandria); λ = 1.5418 Å (Cu Kα)).
Neutral-atom scattering factors, no anomalous dispersion.

Main lines, by angle (5° ≤ 2θ ≤ 70°):
- 6.74°, rel. 6, (0 0 1)
- 13.51°, rel. 1, (0 0 2)
- 34.21°, rel. 2, (0 0 5)
- 39.21°, rel. 2, (0 1 1)
- 41.05°, rel. 100, (0 1 2)
- 41.33°, rel. 31, (0 0 6)
- 43.99°, rel. 2, (1 0 3)
- 47.85°, rel. 62, (1 0 4)
- 63.73°, rel. 2, (0 1 7)
- 69.80°, rel. 20, (1 1 0)

Atomic structure:
Cell lengths 2.6949, 2.6949, 13.1057 Å; angles 90.00, 90.00, 120.00 degrees
Space group P-3m1 (No. 164)
One atom of each set of equivalent atoms:
Co1 0.0000 0.0000 0.0000 (multiplicity 1)
Rh1 0.0000 0.0000 0.5000 (multiplicity 1)
Rh2 0.3333 0.6667 0.1580 (multiplicity 2)
Rh3 0.3333 0.6667 0.6698 (multiplicity 2)

---

5.
Structure and calculated X-ray powder pattern of Co5Rh2 (a DFT-relaxed cell (GGA-PBE, Alexandria); λ = 1.5418 Å (Cu Kα)).
Neutral-atom scattering factors, no anomalous dispersion.

Main lines, by angle (5° ≤ 2θ ≤ 70°):
- 25.62°, rel. 6, (1 1 1)
- 33.06°, rel. 3, (3 1 -1)
- 34.62°, rel. 4, (3 1 1)
- 40.12°, rel. 24, (3 1 -2)
- 40.40°, rel. 14, (0 2 0)
- 43.57°, rel. 38, (4 0 2)
- 45.90°, rel. 100, (1 1 -3)
- 46.15°, rel. 46, (2 2 1)
- 60.71°, rel. 12, (1 1 4)
- 60.91°, rel. 8, (4 2 2)

Atomic structure:
Cell lengths 11.3973, 4.4657, 6.6591 Å; angles 90.00, 94.59, 90.00 degrees
Space group C2/c (No. 15)
One atom of each set of equivalent atoms:
Co1 0.0000 0.1640 0.2500 (multiplicity 4)
Co2 0.1490 0.1641 0.9651 (multiplicity 8)
Co3 0.2140 0.3271 0.3190 (multiplicity 8)
Rh1 0.0750 0.3265 0.6064 (multiplicity 8)

---

6.
Structure and calculated X-ray powder pattern of Co3Rh (a DFT-relaxed cell (GGA-PBE, Alexandria); λ = 1.5418 Å (Cu Kα)).
Neutral-atom scattering factors, no anomalous dispersion.

Main lines, by angle (5° ≤ 2θ ≤ 70°):
- 10.78°, rel. 11, (0 0 1)
- 21.65°, rel. 4, (0 0 2)
- 32.72°, rel. 3, (0 0 3)
- 40.07°, rel. 27, (1 0 0)
- 41.61°, rel. 5, (1 0 1)
- 44.12°, rel. 24, (0 0 4)
- 45.99°, rel. 100, (1 0 2)
- 52.66°, rel. 2, (1 0 3)
- 61.11°, rel. 14, (1 0 4)

Atomic structure:
Cell lengths 2.5984, 2.5984, 8.2101 Å; angles 90.00, 90.00, 120.00 degrees
Space group P-6m2 (No. 187)
One atom of each set of equivalent atoms:
Co1 0.0000 0.0000 0.0000 (multiplicity 1)
Co2 0.6667 0.3333 0.2394 (multiplicity 2)
Rh1 0.0000 0.0000 0.5000 (multiplicity 1)

---

7.
Structure and calculated X-ray powder pattern of CoRh (a DFT-relaxed cell (GGA-PBE, Alexandria); λ = 1.5418 Å (Cu Kα)).
Neutral-atom scattering factors, no anomalous dispersion.

Main lines, by angle (5° ≤ 2θ ≤ 70°):
- 6.99°, rel. 35, (0 0 1)
- 21.06°, rel. 1, (0 0 3)
- 35.47°, rel. 8, (0 0 5)
- 39.98°, rel. 7, (1 0 1)
- 41.92°, rel. 100, (1 0 2)
- 42.88°, rel. 27, (0 0 6)
- 45.02°, rel. 8, (0 1 3)
- 49.08°, rel. 59, (0 1 4)
- 65.79°, rel. 6, (1 0 7)

Atomic structure:
Cell lengths 2.6465, 2.6465, 12.6545 Å; angles 90.00, 90.00, 120.00 degrees
Space group P-3m1 (No. 164)
One atom of each set of equivalent atoms:
Co1 0.0000 0.0000 0.0000 (multiplicity 1)
Co2 0.3333 0.6667 0.8461 (multiplicity 2)
Rh1 0.0000 0.0000 0.5000 (multiplicity 1)
Rh2 0.3333 0.6667 0.3206 (multiplicity 2)

---

8.
Structure and calculated X-ray powder pattern of Co2Rh3 (a DFT-relaxed cell (GGA-PBE, Alexandria); λ = 1.5418 Å (Cu Kα)).
Neutral-atom scattering factors, no anomalous dispersion.

Main lines, by angle (5° ≤ 2θ ≤ 70°):
- 13.39°, rel. 10, (0 0 2)
- 31.56°, rel. 12, (0 1 3)
- 39.46°, rel. 6, (1 0 3)
- 41.72°, rel. 100, (1 1 0)
- 41.98°, rel. 95, (0 1 5)
- 44.01°, rel. 2, (1 1 2)
- 48.44°, rel. 62, (1 0 5)
- 49.25°, rel. 30, (0 2 0)
- 55.59°, rel. 3, (0 0 8)
- 64.86°, rel. 3, (1 2 3)

Atomic structure:
Cell lengths 2.6697, 3.7007, 13.2258 Å; angles 90.00, 90.00, 90.00 degrees
Space group Immm (No. 71)
One atom of each set of equivalent atoms:
Co1 0.0000 0.0000 0.2038 (multiplicity 4)
Rh1 0.0000 0.0000 0.0000 (multiplicity 2)
Rh2 0.0000 0.0000 0.3927 (multiplicity 4)

---

9.
Structure and calculated X-ray powder pattern of CoRh (a DFT-relaxed cell (GGA-PBE, Alexandria); λ = 1.5418 Å (Cu Kα)).
Neutral-atom scattering factors, no anomalous dispersion.

Main lines, by angle (5° ≤ 2θ ≤ 70°):
- 21.14°, rel. 11, (0 0 1)
- 39.04°, rel. 29, (1 0 0)
- 43.06°, rel. 24, (0 0 2)
- 44.81°, rel. 100, (1 0 1)
- 59.51°, rel. 17, (1 0 2)

Atomic structure:
Cell lengths 2.6643, 2.6643, 4.2017 Å; angles 90.00, 90.00, 120.00 degrees
Space group P-6m2 (No. 187)
One atom of each set of equivalent atoms:
Co1 0.0000 0.0000 0.0000 (multiplicity 1)
Rh1 0.3333 0.6667 0.5000 (multiplicity 1)

---

10.
Structure and calculated X-ray powder pattern of CoRh3 (a DFT-relaxed cell (GGA-PBE, Alexandria); λ = 1.5418 Å (Cu Kα)).
Neutral-atom scattering factors, no anomalous dispersion.

Main lines, by angle (5° ≤ 2θ ≤ 70°):
- 26.32°, rel. 9, (1 3 0)
- 39.41°, rel. 25, (2 1 1)
- 39.56°, rel. 13, (0 1 2)
- 41.26°, rel. 67, (2 2 1)
- 41.40°, rel. 100, (0 6 0)
- 44.19°, rel. 74, (2 3 1)
- 44.32°, rel. 36, (0 3 2)
- 48.05°, rel. 43, (2 4 1)
- 48.17°, rel. 22, (0 4 2)
- 52.70°, rel. 10, (2 5 1)

Atomic structure:
Cell lengths 5.3690, 13.0853, 4.6272 Å; angles 90.00, 90.00, 90.00 degrees
Space group Pmmn (No. 59, origin choice 2)
One atom of each set of equivalent atoms:
Co1 0.2500 0.0845 0.1680 (multiplicity 4)
Co2 0.2500 0.7500 0.4968 (multiplicity 2)
Rh1 0.0009 0.2500 0.0039 (multiplicity 4)
Rh2 0.0009 0.5835 0.3333 (multiplicity 8)
Rh3 0.2500 0.2500 0.4956 (multiplicity 2)
Rh4 0.2500 0.5835 0.8334 (multiplicity 4)

---

11.
Structure and calculated X-ray powder pattern of Co3Rh8 (a DFT-relaxed cell (GGA-PBE, Alexandria); λ = 1.5418 Å (Cu Kα)).
Neutral-atom scattering factors, no anomalous dispersion.

Main lines, by angle (5° ≤ 2θ ≤ 70°):
- 9.17°, rel. 2, (0 0 3)
- 27.02°, rel. 2, (1 0 4)
- 32.44°, rel. 2, (1 0 7)
- 34.65°, rel. 2, (0 1 8)
- 39.51°, rel. 6, (1 0 10)
- 42.18°, rel. 100, (1 1 0)
- 57.58°, rel. 2, (1 1 12)
- 59.20°, rel. 2, (0 2 10)
- 61.17°, rel. 14, (2 0 11)
- 68.08°, rel. 2, (0 0 21)

Atomic structure:
Cell lengths 4.2814, 4.2814, 28.9254 Å; angles 90.00, 90.00, 120.00 degrees
Space group R-3m (No. 166, hexagonal axes)
One atom of each set of equivalent atoms:
Co1 0.0000 0.0000 0.0000 (multiplicity 3)
Co2 0.0000 0.0000 0.2649 (multiplicity 6)
Rh1 0.0000 0.0000 0.0812 (multiplicity 6)
Rh2 0.0000 0.0000 0.1749 (multiplicity 6)
Rh3 0.0000 0.0000 0.3586 (multiplicity 6)
Rh4 0.0000 0.0000 0.4532 (multiplicity 6)

---

12.
Structure and calculated X-ray powder pattern of CoRh5 (a DFT-relaxed cell (GGA-PBE, Alexandria); λ = 1.5418 Å (Cu Kα)).
Neutral-atom scattering factors, no anomalous dispersion.

Main lines, by angle (5° ≤ 2θ ≤ 70°):
- 12.67°, rel. 2, (0 0 2)
- 38.17°, rel. 24, (0 1 3)
- 38.66°, rel. 13, (0 0 6)
- 41.68°, rel. 38, (2 0 0)
- 43.71°, rel. 100, (1 1 3)
- 44.15°, rel. 46, (1 0 6)
- 57.79°, rel. 14, (2 1 3)
- 58.15°, rel. 7, (2 0 6)
- 68.67°, rel. 8, (0 2 0)
- 69.65°, rel. 15, (0 1 9)

Atomic structure:
Cell lengths 4.3343, 2.7337, 13.9727 Å; angles 90.00, 90.00, 90.00 degrees
Space group Amm2 (No. 38)
One atom of each set of equivalent atoms:
Co1 0.0000 0.0000 0.0000 (multiplicity 2)
Rh1 0.0000 0.0000 0.3358 (multiplicity 2)
Rh2 0.0000 0.0000 0.6619 (multiplicity 2)
Rh3 0.5000 0.0000 0.1093 (multiplicity 2)
Rh4 0.5000 0.0000 0.4466 (multiplicity 2)
Rh5 0.5000 0.0000 0.7782 (multiplicity 2)